(1)
Starting from a cell relaxed with GGA-PBE, the powder diffraction line list of Ba6YRe3O18 was calculated for Cu Kα, 1.54184 Å.
Intensities are scaled so that the largest is 100.

Structure:
Lattice parameters (Å, degrees): 10.215 10.215 10.103 99.71 99.71 119.99
Positions (direct):
Ba (0.037, 0.702, 0.605)
Ba (0.139, 0.458, 0.875)
Ba (0.222, 0.222, 0.126)
Ba (0.298, 0.963, 0.395)
Ba (0.368, 0.368, 0.609)
Ba (0.458, 0.139, 0.875)
Ba (0.542, 0.861, 0.125)
Ba (0.632, 0.632, 0.391)
Ba (0.702, 0.037, 0.605)
Ba (0.778, 0.778, 0.874)
Ba (0.861, 0.542, 0.125)
Ba (0.963, 0.298, 0.395)
Y (0.167, 0.833, 0.000)
Y (0.833, 0.167, 0.000)
Re (0.078, 0.078, 0.733)
Re (0.256, 0.589, 0.267)
Re (0.411, 0.744, 0.733)
Re (0.589, 0.256, 0.267)
Re (0.744, 0.411, 0.733)
Re (0.922, 0.922, 0.267)
O (0.038, 0.883, 0.139)
O (0.042, 0.198, 0.632)
O (0.056, 0.391, 0.139)
O (0.114, 0.114, 0.363)
O (0.117, 0.962, 0.861)
O (0.127, 0.621, 0.361)
O (0.198, 0.042, 0.632)
O (0.210, 0.700, 0.137)
O (0.221, 0.558, 0.632)
O (0.261, 0.261, 0.861)
O (0.287, 0.468, 0.370)
O (0.300, 0.790, 0.863)
O (0.355, 0.546, 0.140)
O (0.379, 0.873, 0.639)
O (0.391, 0.056, 0.139)
O (0.442, 0.779, 0.368)
O (0.454, 0.645, 0.860)
O (0.468, 0.287, 0.370)
O (0.532, 0.713, 0.630)
O (0.546, 0.355, 0.140)
O (0.558, 0.221, 0.632)
O (0.609, 0.944, 0.861)
O (0.621, 0.127, 0.361)
O (0.645, 0.454, 0.860)
O (0.700, 0.210, 0.137)
O (0.713, 0.532, 0.630)
O (0.739, 0.739, 0.139)
O (0.779, 0.442, 0.368)
O (0.790, 0.300, 0.863)
O (0.802, 0.958, 0.368)
O (0.873, 0.379, 0.639)
O (0.883, 0.038, 0.139)
O (0.886, 0.886, 0.637)
O (0.944, 0.609, 0.861)
O (0.958, 0.802, 0.368)
O (0.962, 0.117, 0.861)

Principal peaks in the range 2θ from 10° to 80°, sorted by position:
2theta  I (rel.)
17.6  15
28.0  100
30.3  89
41.7  52
48.1  16
52.4  11
52.4  22
53.8  17
57.9  15
63.0  16
66.7  17
70.4  15


(2)
Starting from a cell relaxed with GGA-PBE, the powder diffraction line list of BaRh2O4 was calculated for Cu Kα, 1.54184 Å.
Intensities are scaled so that the largest is 100.

Structure:
Lattice parameters (Å, degrees): 6.887 6.887 6.887 125.82 125.82 80.18
Positions (direct):
Ba (0.375, 0.125, 0.250)
Ba (0.625, 0.875, 0.750)
Rh (0.000, 0.000, 0.500)
Rh (0.000, 0.500, 0.000)
Rh (0.000, 0.500, 0.500)
Rh (0.500, 0.500, 0.000)
O (0.013, 0.676, 0.860)
O (0.176, 0.816, 0.663)
O (0.316, 0.153, 0.640)
O (0.347, 0.487, 0.163)
O (0.653, 0.513, 0.837)
O (0.684, 0.847, 0.360)
O (0.824, 0.184, 0.337)
O (0.987, 0.324, 0.140)

Principal peaks in the range 2θ from 10° to 80°, sorted by position:
2theta  I (rel.)
26.3  34
29.1  51
33.0  100
33.2  45
45.4  20
49.1  14
50.8  17
53.4  20
54.1  34
58.9  13
69.3  13
71.1  10


(3)
Starting from a cell relaxed with GGA-PBE, the powder diffraction line list of Ba8Rh3O was calculated for Cu Kα, 1.54184 Å.
Intensities are scaled so that the largest is 100.

Structure:
Lattice parameters (Å, degrees): 8.861 8.861 9.013 119.67 119.67 60.04
Positions (direct):
Ba (0.227, 0.227, 0.711)
Ba (0.228, 0.758, 0.711)
Ba (0.242, 0.772, 0.289)
Ba (0.254, 0.254, 0.264)
Ba (0.746, 0.746, 0.736)
Ba (0.758, 0.228, 0.711)
Ba (0.772, 0.242, 0.289)
Ba (0.773, 0.773, 0.289)
Rh (0.000, 0.500, 0.500)
Rh (0.500, 0.000, 0.500)
Rh (0.500, 0.500, 0.500)
O (0.000, 0.000, 0.500)

Principal peaks in the range 2θ from 10° to 80°, sorted by position:
2theta  I (rel.)
12.0  64
24.1  16
24.5  57
28.2  100
28.4  50
36.7  18
40.0  16
40.2  32
40.7  57
42.6  11
50.3  28
66.6  16


(4)
Starting from a cell relaxed with GGA-PBE, the powder diffraction line list of Ba2Rh2O5 was calculated for Cu Kα, 1.54184 Å.
Intensities are scaled so that the largest is 100.

Structure:
Lattice parameters (Å, degrees): 7.397 7.397 5.853 103.74 103.74 31.02
Positions (direct):
Ba (0.125, 0.125, 0.304)
Ba (0.875, 0.875, 0.696)
Rh (0.409, 0.409, 0.209)
Rh (0.591, 0.591, 0.791)
O (0.087, 0.087, 0.791)
O (0.319, 0.319, 0.401)
O (0.500, 0.500, 0.000)
O (0.681, 0.681, 0.599)
O (0.913, 0.913, 0.209)

Principal peaks in the range 2θ from 10° to 80°, sorted by position:
2theta  I (rel.)
12.8  22
25.8  75
27.3  25
29.1  100
31.0  30
31.4  70
31.5  40
36.0  36
45.9  31
46.2  20
52.9  21
56.7  21


(5)
Starting from a cell relaxed with GGA-PBE, the powder diffraction line list of Ba4RhO5 was calculated for Cu Kα, 1.54184 Å.
Intensities are scaled so that the largest is 100.

Structure:
Lattice parameters (Å, degrees): 6.496 6.496 6.496 100.87 100.87 128.52
Positions (direct):
Ba (0.103, 0.291, 0.394)
Ba (0.291, 0.897, 0.188)
Ba (0.709, 0.103, 0.812)
Ba (0.897, 0.709, 0.606)
Rh (0.490, 0.490, 0.000)
O (0.219, 0.570, 0.823)
O (0.396, 0.219, 0.649)
O (0.570, 0.747, 0.351)
O (0.747, 0.396, 0.177)
O (0.902, 0.902, 0.000)

Principal peaks in the range 2θ from 10° to 80°, sorted by position:
2theta  I (rel.)
28.9  100
31.7  32
34.3  52
47.4  39
49.2  17
54.7  18
58.1  29
59.8  18
66.3  3
72.2  5
76.7  23
79.5  7


(6)
Starting from a cell relaxed with GGA-PBE, the powder diffraction line list of Ba3Rh2O7 was calculated for Cu Kα, 1.54184 Å.
Intensities are scaled so that the largest is 100.

Structure:
Lattice parameters (Å, degrees): 11.116 11.116 11.116 158.72 158.72 30.28
Positions (direct):
Ba (0.000, 0.000, 0.000)
Ba (0.183, 0.183, 0.000)
Ba (0.817, 0.817, 0.000)
Rh (0.404, 0.404, 0.000)
Rh (0.596, 0.596, 0.000)
O (0.096, 0.596, 0.500)
O (0.310, 0.310, 0.000)
O (0.404, 0.904, 0.500)
O (0.500, 0.500, 0.000)
O (0.596, 0.096, 0.500)
O (0.690, 0.690, 0.000)
O (0.904, 0.404, 0.500)

Principal peaks in the range 2θ from 10° to 80°, sorted by position:
2theta  I (rel.)
30.1  100
30.8  62
36.6  8
40.0  11
42.1  12
44.1  33
53.1  14
54.3  39
62.6  13
64.2  10
72.5  8
72.9  10